# Na2TiS2O
Calculated XRD peak list, CuKα. Input: the GGA-PBE geometry in Alexandria.

Most intense lines, 2θ from 15° to 90°, in order of rising 2θ:
2θ = 18.98°, rel. 12.6
2θ = 21.11°, rel. 19.4
2θ = 21.36°, rel. 25.1
2θ = 25.65°, rel. 17.0
2θ = 28.74°, rel. 17.1
2θ = 30.89°, rel. 100.0
2θ = 34.27°, rel. 18.1
2θ = 35.55°, rel. 34.6
2θ = 44.61°, rel. 13.2
2θ = 47.54°, rel. 20.1

Cell and atoms:
Cell: 6.9421 13.7516 5.7938 Å, 90.00 113.26 90.00°
Space group P2_1/c (No. 14)
Asymmetric unit:
Na: 0.1025 0.1390 0.0443 [4 per cell]
Na: 0.2874 0.5570 0.1481 [4 per cell]
Ti: 0.4788 0.1832 0.6631 [4 per cell]
S: 0.1401 0.1431 0.5587 [4 per cell]
S: 0.3087 0.5588 0.6478 [4 per cell]
O: 0.4799 0.7088 0.1307 [4 per cell]


# La3Pm12Pu
Calculated XRD peak list, CuKα. Input: the GGA-PBE geometry in Alexandria.

Most intense lines, 2θ from 15° to 90°, in order of rising 2θ:
2θ = 29.96°, rel. 100.0
2θ = 34.69°, rel. 34.2
2θ = 34.82°, rel. 16.4
2θ = 49.87°, rel. 12.3
2θ = 49.97°, rel. 23.7
2θ = 59.27°, rel. 29.1
2θ = 59.45°, rel. 13.6
2θ = 62.26°, rel. 12.2
2θ = 81.21°, rel. 11.2
2θ = 83.64°, rel. 11.0

Cell and atoms:
Cell: 5.1723 5.1723 20.6115 Å, 90.00 90.00 90.00°
Space group P4/mmm (No. 123)
Asymmetric unit:
La: 0.0000 0.0000 0.0000 [1 per cell]
La: 0.0000 0.0000 0.2525 [2 per cell]
Pm: 0.0000 0.5000 0.1269 [4 per cell]
Pm: 0.0000 0.5000 0.3809 [4 per cell]
Pm: 0.5000 0.5000 0.0000 [1 per cell]
Pm: 0.5000 0.5000 0.2537 [2 per cell]
Pm: 0.5000 0.5000 0.5000 [1 per cell]
Pu: 0.0000 0.0000 0.5000 [1 per cell]